For Sc3Ga, a PBE-relaxed structure gives the computed powder diffraction line list in this record (Cu Kα (λ = 1.5418 Å)).
Peak positions follow from Bragg's law for the DFT cell and can differ from measured ones.

Structural model:
a = 6.2360 Å, b = 6.2360 Å, c = 5.0342 Å
α = 90.00°, β = 90.00°, γ = 120.00°
Element x y z (fractional)
Sc1 0.1715 0.3431 0.2500
Sc2 0.1715 0.8285 0.2500
Sc3 0.3431 0.1715 0.7500
Sc4 0.6569 0.8285 0.2500
Sc5 0.8285 0.1715 0.7500
Sc6 0.8285 0.6569 0.7500
Ga1 0.3333 0.6667 0.7500
Ga2 0.6667 0.3333 0.2500

Peak list (10 most intense, 2θ = 10–80°, sorted by position)
| 2θ (°) | Rel. int. |
| --- | --- |
| 16.41 | 4 |
| 24.17 | 4 |
| 33.18 | 24 |
| 35.67 | 26 |
| 37.81 | 100 |
| 49.51 | 15 |
| 59.27 | 16 |
| 65.49 | 18 |
| 71.14 | 18 |
| 72.48 | 13 |

=====

For Sc3Ga2, a PBE-relaxed structure gives the computed powder diffraction line list in this record (Cu Kα (λ = 1.5418 Å)).
Peak positions follow from Bragg's law for the DFT cell and can differ from measured ones.

Structural model:
a = 10.3904 Å, b = 10.3904 Å, c = 10.3904 Å
α = 117.05°, β = 117.05°, γ = 95.19°
Element x y z (fractional)
Sc1 0.0681 0.9300 0.2701
Sc2 0.0700 0.3402 0.1381
Sc3 0.1466 0.6466 0.5000
Sc4 0.1598 0.4300 0.8619
Sc5 0.1699 0.3301 0.5000
Sc6 0.2020 0.9319 0.8619
Sc7 0.2980 0.1598 0.7299
Sc8 0.3301 0.8301 0.1602
Sc9 0.3402 0.2020 0.2701
Sc10 0.3534 0.8534 0.5000
Sc11 0.4300 0.5681 0.2701
Sc12 0.4319 0.7020 0.8619
Sc13 0.5681 0.2980 0.1381
Sc14 0.5700 0.4319 0.7299
Sc15 0.6466 0.1466 0.5000
Sc16 0.6598 0.7980 0.7299
Sc17 0.6699 0.1699 0.8398
Sc18 0.7020 0.8402 0.2701
Sc19 0.7980 0.0681 0.1381
Sc20 0.8301 0.6699 0.5000
Sc21 0.8402 0.5700 0.1381
Sc22 0.8534 0.3534 0.5000
Sc23 0.9300 0.6598 0.8619
Sc24 0.9319 0.0700 0.7299
Ga1 0.0000 0.0000 0.0000
Ga2 0.0235 0.8761 0.5000
Ga3 0.1184 0.6184 0.7369
Ga4 0.1239 0.6239 0.1474
Ga5 0.2500 0.2500 0.0000
Ga6 0.3761 0.5235 0.5000
Ga7 0.3816 0.1184 0.5000
Ga8 0.4765 0.9765 0.8526
Ga9 0.5000 0.5000 0.0000
Ga10 0.5235 0.0235 0.1474
Ga11 0.6184 0.8816 0.5000
Ga12 0.6239 0.4765 0.5000
Ga13 0.7500 0.7500 0.0000
Ga14 0.8761 0.3761 0.8526
Ga15 0.8816 0.3816 0.2631
Ga16 0.9765 0.1239 0.5000

Peak list (10 most intense, 2θ = 10–80°, sorted by position)
| 2θ (°) | Rel. int. |
| --- | --- |
| 25.97 | 19 |
| 26.49 | 19 |
| 34.68 | 80 |
| 35.09 | 26 |
| 35.48 | 32 |
| 36.66 | 100 |
| 37.05 | 47 |
| 39.30 | 38 |
| 47.39 | 21 |
| 71.73 | 19 |

=====

For ScGa2, a PBE-relaxed structure gives the computed powder diffraction line list in this record (Cu Kα (λ = 1.5418 Å)).
Peak positions follow from Bragg's law for the DFT cell and can differ from measured ones.

Structural model:
a = 4.1227 Å, b = 6.6266 Å, c = 7.9817 Å
α = 90.00°, β = 90.00°, γ = 90.00°
Element x y z (fractional)
Sc1 0.0000 0.2500 0.0607
Sc2 0.0000 0.7500 0.9393
Sc3 0.5000 0.2500 0.4393
Sc4 0.5000 0.7500 0.5607
Ga1 0.0000 0.0460 0.6580
Ga2 0.0000 0.4540 0.6580
Ga3 0.0000 0.5460 0.3420
Ga4 0.0000 0.9540 0.3420
Ga5 0.5000 0.0460 0.8420
Ga6 0.5000 0.4540 0.8420
Ga7 0.5000 0.5460 0.1580
Ga8 0.5000 0.9540 0.1580

Peak list (10 most intense, 2θ = 10–80°, sorted by position)
| 2θ (°) | Rel. int. |
| --- | --- |
| 26.91 | 29 |
| 34.07 | 50 |
| 35.21 | 32 |
| 36.57 | 100 |
| 40.35 | 86 |
| 42.46 | 34 |
| 43.92 | 46 |
| 49.17 | 38 |
| 52.27 | 25 |
| 79.71 | 22 |

=====

For ScGa, a PBE-relaxed structure gives the computed powder diffraction line list in this record (Cu Kα (λ = 1.5418 Å)).
Peak positions follow from Bragg's law for the DFT cell and can differ from measured ones.

Structural model:
a = 4.0276 Å, b = 10.2693 Å, c = 3.9137 Å
α = 90.00°, β = 90.00°, γ = 90.00°
Element x y z (fractional)
Sc1 0.0000 0.1389 0.2500
Sc2 0.0000 0.8611 0.7500
Sc3 0.5000 0.3611 0.7500
Sc4 0.5000 0.6389 0.2500
Ga1 0.0000 0.4184 0.2500
Ga2 0.0000 0.5816 0.7500
Ga3 0.5000 0.0816 0.7500
Ga4 0.5000 0.9184 0.2500

Peak list (10 most intense, 2θ = 10–80°, sorted by position)
| 2θ (°) | Rel. int. |
| --- | --- |
| 17.27 | 22 |
| 23.73 | 28 |
| 33.09 | 100 |
| 34.95 | 25 |
| 41.61 | 97 |
| 42.09 | 33 |
| 45.02 | 29 |
| 46.40 | 26 |
| 63.32 | 19 |
| 66.64 | 17 |